1.
Calculated X-ray powder pattern of La2FeAs2RuO2 for a wavelength of 1.5418 Å, from DFT lattice parameters and positions (GGA+U).
Lines closer than 0.1° are merged.

Largest 12 diffraction maxima, sorted by position, 2θ from 10° to 80°:
d [Å], I_rel
3.025, 100
2.864, 13
2.732, 23
2.424, 38
2.025, 35
1.983, 8
1.781, 34
1.683, 38
1.432, 11
1.294, 9
1.233, 7
1.214, 7

Structural model:
```
data_La2FeAs2RuO2
_space_group_name_H-M_alt 'P 1'
_space_group_IT_number 1
_cell_length_a 4.0500
_cell_length_b 4.0500
_cell_length_c 9.0977
_cell_angle_alpha 90.00
_cell_angle_beta 90.00
_cell_angle_gamma 90.00
loop_
_space_group_symop_operation_xyz
'x,y,z'
loop_
_atom_site_label
_atom_site_fract_x
_atom_site_fract_y
_atom_site_fract_z
_atom_site_occupancy
La1 0.0000 0.5000 0.1361 1
La2 0.5000 0.0000 0.8639 1
Fe1 0.5000 0.5000 0.5000 1
As1 0.0000 0.5000 0.6674 1
As2 0.5000 0.0000 0.3326 1
Ru1 0.0000 0.0000 0.5000 1
O1 0.0000 0.0000 0.0000 1
O2 0.5000 0.5000 0.0000 1
```


2.
Calculated X-ray powder pattern of Sr4MgFe4O11 for a wavelength of 1.5418 Å, from DFT lattice parameters and positions (GGA+U).
Lines closer than 0.1° are merged.

Largest 12 diffraction maxima, sorted by position, 2θ from 10° to 80°:
d [Å], I_rel
2.968, 15
2.834, 100
2.792, 27
2.280, 10
2.274, 10
2.033, 27
1.976, 17
1.763, 10
1.687, 12
1.620, 18
1.613, 13
1.417, 12

Structural model:
```
data_Sr4MgFe4O11
_space_group_name_H-M_alt 'P 1'
_space_group_IT_number 1
_cell_length_a 7.1310
_cell_length_b 7.1310
_cell_length_c 5.5830
_cell_angle_alpha 90.04
_cell_angle_beta 90.04
_cell_angle_gamma 67.32
loop_
_space_group_symop_operation_xyz
'x,y,z'
loop_
_atom_site_label
_atom_site_fract_x
_atom_site_fract_y
_atom_site_fract_z
_atom_site_occupancy
Sr1 0.0000 0.0000 0.0000 1
Sr2 0.3385 0.3385 0.5007 1
Sr3 0.5310 0.5310 0.0008 1
Sr4 0.7732 0.7732 0.5008 1
Mg1 0.1328 0.1328 0.4988 1
Fe1 0.0318 0.5098 0.0008 1
Fe2 0.2817 0.7579 0.5007 1
Fe3 0.5098 0.0318 0.0008 1
Fe4 0.7579 0.2817 0.5007 1
O1 0.1249 0.6726 0.2621 1
O2 0.1270 0.6712 0.7404 1
O3 0.3156 0.3156 0.0031 1
O4 0.3294 0.9497 0.2627 1
O5 0.3287 0.9510 0.7367 1
O6 0.5429 0.5429 0.4999 1
O7 0.6712 0.1270 0.7404 1
O8 0.6726 0.1249 0.2621 1
O9 0.7416 0.7416 0.9993 1
O10 0.9497 0.3294 0.2627 1
O11 0.9510 0.3287 0.7367 1
```


3.
Calculated X-ray powder pattern of Zn3Fe4W6O24 for a wavelength of 1.5418 Å, from DFT lattice parameters and positions (GGA+U).
Lines closer than 0.1° are merged.

Largest 12 diffraction maxima, sorted by position, 2θ from 10° to 80°:
d [Å], I_rel
4.809, 46
4.211, 48
3.872, 63
3.536, 58
3.453, 47
3.327, 100
3.254, 91
3.229, 40
3.068, 36
2.827, 31
2.675, 31
2.564, 37

Structural model:
```
data_Zn3Fe4W6O24
_space_group_name_H-M_alt 'P 1'
_space_group_IT_number 1
_cell_length_a 7.2170
_cell_length_b 8.4107
_cell_length_c 10.3368
_cell_angle_alpha 105.08
_cell_angle_beta 104.32
_cell_angle_gamma 101.26
loop_
_space_group_symop_operation_xyz
'x,y,z'
loop_
_atom_site_label
_atom_site_fract_x
_atom_site_fract_y
_atom_site_fract_z
_atom_site_occupancy
Zn1 0.0000 0.0000 0.0000 1
Zn2 0.2768 0.7674 0.2881 1
Zn3 0.7232 0.2326 0.7119 1
Fe1 0.0417 0.6985 0.5121 1
Fe2 0.3854 0.4514 0.1041 1
Fe3 0.6146 0.5486 0.8959 1
Fe4 0.9583 0.3015 0.4879 1
W1 0.0985 0.5991 0.8381 1
W2 0.2248 0.1597 0.7680 1
W3 0.4118 0.2230 0.3819 1
W4 0.5882 0.7770 0.6181 1
W5 0.7752 0.8403 0.2320 1
W6 0.9015 0.4009 0.1619 1
O1 0.0187 0.2269 0.6739 1
O2 0.0679 0.5510 0.6445 1
O3 0.1101 0.8179 0.9454 1
O4 0.1476 0.5310 0.1556 1
O5 0.1761 0.9358 0.6773 1
O6 0.2194 0.1847 0.9481 1
O7 0.2430 0.2880 0.4713 1
O8 0.2979 0.9982 0.2742 1
O9 0.3293 0.5335 0.9177 1
O10 0.3485 0.7490 0.4849 1
O11 0.4420 0.3460 0.2665 1
O12 0.4690 0.2660 0.7639 1
O13 0.5310 0.7340 0.2361 1
O14 0.5580 0.6540 0.7335 1
O15 0.6515 0.2510 0.5151 1
O16 0.6707 0.4665 0.0823 1
O17 0.7021 0.0018 0.7258 1
O18 0.7570 0.7120 0.5287 1
O19 0.7806 0.8153 0.0519 1
O20 0.8239 0.0642 0.3227 1
O21 0.8524 0.4690 0.8444 1
O22 0.8899 0.1821 0.0546 1
O23 0.9321 0.4490 0.3555 1
O24 0.9813 0.7731 0.3261 1
```


4.
Calculated X-ray powder pattern of MgFe7Ni6O16 for a wavelength of 1.5418 Å, from DFT lattice parameters and positions (GGA+U).
Lines closer than 0.1° are merged.

Largest 12 diffraction maxima, sorted by position, 2θ from 10° to 80°:
d [Å], I_rel
2.882, 19
2.610, 13
2.596, 16
2.581, 31
2.513, 18
2.463, 41
2.392, 15
2.143, 100
1.889, 13
1.527, 41
1.504, 45
1.291, 14

Structural model:
```
data_MgFe7Ni6O16
_space_group_name_H-M_alt 'P 1'
_space_group_IT_number 1
_cell_length_a 6.0173
_cell_length_b 6.0173
_cell_length_c 10.6355
_cell_angle_alpha 106.45
_cell_angle_beta 106.45
_cell_angle_gamma 60.00
loop_
_space_group_symop_operation_xyz
'x,y,z'
loop_
_atom_site_label
_atom_site_fract_x
_atom_site_fract_y
_atom_site_fract_z
_atom_site_occupancy
Mg1 0.0000 0.0000 0.0000 1
Fe1 0.0063 0.5041 0.5370 1
Fe2 0.0188 0.5062 0.0365 1
Fe3 0.0777 0.0777 0.2506 1
Fe4 0.4408 0.4408 0.3500 1
Fe5 0.5041 0.0063 0.5370 1
Fe6 0.5062 0.0188 0.0365 1
Fe7 0.7480 0.7480 0.2724 1
Ni1 0.0057 0.0057 0.5333 1
Ni2 0.2595 0.2595 0.7811 1
Ni3 0.2702 0.7514 0.7741 1
Ni4 0.5056 0.5056 0.0306 1
Ni5 0.7514 0.2702 0.7741 1
Ni6 0.7518 0.7518 0.7768 1
O1 0.1113 0.6332 0.4121 1
O2 0.1326 0.1326 0.8976 1
O3 0.1339 0.6310 0.8981 1
O4 0.1438 0.1438 0.4405 1
O5 0.3751 0.8763 0.1358 1
O6 0.3766 0.3766 0.6569 1
O7 0.3821 0.3821 0.1525 1
O8 0.3823 0.8999 0.6613 1
O9 0.6310 0.1339 0.8981 1
O10 0.6332 0.1113 0.4121 1
O11 0.6337 0.6337 0.9023 1
O12 0.6393 0.6393 0.4194 1
O13 0.8763 0.3751 0.1358 1
O14 0.8781 0.8781 0.6522 1
O15 0.8790 0.8790 0.1330 1
O16 0.8999 0.3823 0.6613 1
```


5.
Calculated X-ray powder pattern of Li2V3F8 for a wavelength of 1.5418 Å, from DFT lattice parameters and positions (GGA+U).
Lines closer than 0.1° are merged.

Largest 12 diffraction maxima, sorted by position, 2θ from 10° to 80°:
d [Å], I_rel
5.117, 26
5.055, 100
4.418, 34
3.110, 11
2.666, 12
2.559, 86
2.024, 75
1.694, 32
1.569, 32
1.499, 17
1.324, 12
1.240, 11

Structural model:
```
data_Li2V3F8
_space_group_name_H-M_alt 'P 1'
_space_group_IT_number 1
_cell_length_a 6.2199
_cell_length_b 6.2199
_cell_length_c 6.2199
_cell_angle_alpha 60.61
_cell_angle_beta 60.61
_cell_angle_gamma 60.61
loop_
_space_group_symop_operation_xyz
'x,y,z'
loop_
_atom_site_label
_atom_site_fract_x
_atom_site_fract_y
_atom_site_fract_z
_atom_site_occupancy
Li1 0.1412 0.1412 0.1412 1
Li2 0.8588 0.8588 0.8588 1
V1 0.0000 0.5000 0.5000 1
V2 0.5000 0.0000 0.5000 1
V3 0.5000 0.5000 0.0000 1
F1 0.0974 0.0974 0.5702 1
F2 0.0974 0.5702 0.0974 1
F3 0.4039 0.4039 0.4039 1
F4 0.4298 0.9026 0.9026 1
F5 0.5702 0.0974 0.0974 1
F6 0.5961 0.5961 0.5961 1
F7 0.9026 0.4298 0.9026 1
F8 0.9026 0.9026 0.4298 1
```


6.
Calculated X-ray powder pattern of LiV2P2HO9 for a wavelength of 1.5418 Å, from DFT lattice parameters and positions (GGA+U).
Lines closer than 0.1° are merged.

Largest 12 diffraction maxima, sorted by position, 2θ from 10° to 80°:
d [Å], I_rel
8.300, 19
6.141, 100
5.920, 22
5.251, 42
3.390, 19
3.138, 37
3.070, 28
2.891, 31
2.667, 13
2.624, 22
2.047, 17
1.554, 15

Structural model:
```
data_LiV2P2HO9
_space_group_name_H-M_alt 'P 1'
_space_group_IT_number 1
_cell_length_a 6.4782
_cell_length_b 6.7796
_cell_length_c 8.7558
_cell_angle_alpha 90.00
_cell_angle_beta 108.57
_cell_angle_gamma 90.00
loop_
_space_group_symop_operation_xyz
'x,y,z'
loop_
_atom_site_label
_atom_site_fract_x
_atom_site_fract_y
_atom_site_fract_z
_atom_site_occupancy
Li1 0.0980 0.2500 0.3318 1
Li2 0.9020 0.7500 0.6682 1
V1 0.4775 0.2500 0.7923 1
V2 0.5000 0.0000 0.5000 1
V3 0.5000 0.5000 0.5000 1
V4 0.5225 0.7500 0.2077 1
P1 0.0786 0.7500 0.3015 1
P2 0.4151 0.2500 0.1587 1
P3 0.5849 0.7500 0.8413 1
P4 0.9214 0.2500 0.6985 1
H1 0.0394 0.7500 0.0366 1
H2 0.9606 0.2500 0.9634 1
O1 0.1653 0.7500 0.1455 1
O2 0.1664 0.2500 0.7627 1
O3 0.1668 0.2500 0.1181 1
O4 0.1687 0.5607 0.3955 1
O5 0.1687 0.9393 0.3955 1
O6 0.4114 0.2500 0.5444 1
O7 0.4828 0.7500 0.9774 1
O8 0.4886 0.5605 0.7361 1
O9 0.4886 0.9395 0.7361 1
O10 0.5114 0.0605 0.2639 1
O11 0.5114 0.4395 0.2639 1
O12 0.5172 0.2500 0.0226 1
O13 0.5886 0.7500 0.4556 1
O14 0.8313 0.0607 0.6045 1
O15 0.8313 0.4393 0.6045 1
O16 0.8332 0.7500 0.8819 1
O17 0.8336 0.7500 0.2373 1
O18 0.8347 0.2500 0.8545 1
```


7.
Calculated X-ray powder pattern of La4MgGa2Fe2O12 for a wavelength of 1.5418 Å, from DFT lattice parameters and positions (GGA+U).
Lines closer than 0.1° are merged.

Largest 12 diffraction maxima, sorted by position, 2θ from 10° to 80°:
d [Å], I_rel
4.214, 25
3.850, 25
3.776, 26
3.598, 21
2.987, 100
2.978, 24
2.867, 19
2.835, 45
2.824, 38
2.421, 27
2.334, 21
2.053, 33

Structural model:
```
data_La4MgGa2Fe2O12
_space_group_name_H-M_alt 'P 1'
_space_group_IT_number 1
_cell_length_a 5.6585
_cell_length_b 6.2473
_cell_length_c 8.4502
_cell_angle_alpha 93.45
_cell_angle_beta 93.39
_cell_angle_gamma 90.95
loop_
_space_group_symop_operation_xyz
'x,y,z'
loop_
_atom_site_label
_atom_site_fract_x
_atom_site_fract_y
_atom_site_fract_z
_atom_site_occupancy
La1 0.0000 0.0000 0.0000 1
La2 0.0297 0.7728 0.5398 1
La3 0.4755 0.2759 0.5683 1
La4 0.5820 0.4711 0.0113 1
Mg1 0.1274 0.5971 0.1675 1
Ga1 0.5234 0.8394 0.7338 1
Ga2 0.9921 0.2686 0.3615 1
Fe1 0.0155 0.3968 0.7847 1
Fe2 0.5441 0.9074 0.2753 1
O1 0.1588 0.3617 0.0074 1
O2 0.1968 0.0402 0.3814 1
O3 0.2279 0.4937 0.3692 1
O4 0.2540 0.0180 0.7336 1
O5 0.3323 0.5726 0.7233 1
O6 0.3439 0.8013 0.0816 1
O7 0.6296 0.8923 0.5206 1
O8 0.7177 0.1981 0.8298 1
O9 0.7454 0.2047 0.2110 1
O10 0.8003 0.7174 0.8227 1
O11 0.8231 0.7233 0.1818 1
O12 0.8760 0.3824 0.5528 1
```